Record 1
# CsK2Cd2Cl7
Computed PXRD pattern, Cu Kα (λ = 1.5418 Å). Input: the PBE geometry in Alexandria.
Intensities are scaled so that the largest is 100.

The 6 most intense peaks (2θ from 5° to 70°), sorted by position:
two_theta  d/Å  I/Imax
6.77  13.066  100.0
23.68  3.757  83.8
23.88  3.726  98.6
33.74  2.656  97.5
41.76  2.163  45.7
48.45  1.879  39.6

Cell and atoms:
```
data_CsK2Cd2Cl7
_symmetry_space_group_name_H-M 'P 1'
_symmetry_Int_Tables_number 1
_cell_length_a 5.3128
_cell_length_b 5.3128
_cell_length_c 13.5939
_cell_angle_alpha 101.25
_cell_angle_beta 101.25
_cell_angle_gamma 90.00
loop_
_symmetry_equiv_pos_as_xyz
'x,y,z'
loop_
_atom_site_label
_atom_site_type_symbol
_atom_site_fract_x
_atom_site_fract_y
_atom_site_fract_z
Cs1 Cs 0.0000 0.0000 0.0000
K1 K 0.1768 0.1768 0.3619
K2 K 0.8232 0.8232 0.6381
Cd1 Cd 0.3968 0.3968 0.7935
Cd2 Cd 0.6032 0.6032 0.2065
Cl1 Cl 0.1007 0.5994 0.2011
Cl2 Cl 0.2961 0.2961 0.5981
Cl3 Cl 0.4006 0.8993 0.7989
Cl4 Cl 0.5000 0.5000 0.0000
Cl5 Cl 0.5994 0.1007 0.2011
Cl6 Cl 0.7039 0.7039 0.4019
Cl7 Cl 0.8993 0.4006 0.7989
```


Record 2
# CsMgCdCl5
Computed PXRD pattern, Cu Kα (λ = 1.5418 Å). Input: the PBE geometry in Alexandria.
Intensities are scaled so that the largest is 100.

The 6 most intense peaks (2θ from 5° to 70°), sorted by position:
two_theta  d/Å  I/Imax
20.25  4.384  77.6
20.88  4.254  100.0
23.08  3.853  71.8
24.15  3.685  91.5
27.66  3.225  52.4
28.96  3.083  93.2

Cell and atoms:
```
data_CsMgCdCl5
_symmetry_space_group_name_H-M 'P 1'
_symmetry_Int_Tables_number 1
_cell_length_a 7.6488
_cell_length_b 7.6488
_cell_length_c 9.5174
_cell_angle_alpha 102.65
_cell_angle_beta 102.65
_cell_angle_gamma 106.58
loop_
_symmetry_equiv_pos_as_xyz
'x,y,z'
loop_
_atom_site_label
_atom_site_type_symbol
_atom_site_fract_x
_atom_site_fract_y
_atom_site_fract_z
Cs1 Cs 0.1596 0.8404 0.7500
Cs2 Cs 0.8404 0.1596 0.2500
Mg1 Mg 0.5000 0.5000 0.0000
Mg2 Mg 0.5000 0.5000 0.5000
Cd1 Cd 0.1949 0.8051 0.2500
Cd2 Cd 0.8051 0.1949 0.7500
Cl1 Cl 0.1312 0.2791 0.9340
Cl2 Cl 0.2078 0.5881 0.4112
Cl3 Cl 0.2791 0.1312 0.4340
Cl4 Cl 0.4119 0.7922 0.0888
Cl5 Cl 0.4456 0.5544 0.7500
Cl6 Cl 0.5544 0.4456 0.2500
Cl7 Cl 0.5881 0.2078 0.9112
Cl8 Cl 0.7209 0.8688 0.5660
Cl9 Cl 0.7922 0.4119 0.5888
Cl10 Cl 0.8688 0.7209 0.0660
```


Record 3
# Cs3Na3CdCl8
Computed PXRD pattern, Cu Kα (λ = 1.5418 Å). Input: the PBE geometry in Alexandria.
Intensities are scaled so that the largest is 100.

The 6 most intense peaks (2θ from 5° to 70°), sorted by position:
two_theta  d/Å  I/Imax
12.57  7.044  60.0
23.75  3.747  21.6
28.53  3.129  100.0
39.08  2.305  31.3
42.43  2.131  34.1
51.92  1.761  17.8

Cell and atoms:
```
data_Cs3Na3CdCl8
_symmetry_space_group_name_H-M 'P 1'
_symmetry_Int_Tables_number 1
_cell_length_a 9.2811
_cell_length_b 9.2811
_cell_length_c 9.2811
_cell_angle_alpha 54.66
_cell_angle_beta 54.66
_cell_angle_gamma 54.66
loop_
_symmetry_equiv_pos_as_xyz
'x,y,z'
loop_
_atom_site_label
_atom_site_type_symbol
_atom_site_fract_x
_atom_site_fract_y
_atom_site_fract_z
Cs1 Cs 0.0000 0.5000 0.5000
Cs2 Cs 0.5000 0.0000 0.5000
Cs3 Cs 0.5000 0.5000 0.0000
Na1 Na 0.0000 0.0000 0.5000
Na2 Na 0.0000 0.5000 0.0000
Na3 Na 0.5000 0.0000 0.0000
Cd1 Cd 0.5000 0.5000 0.5000
Cl1 Cl 0.2320 0.2320 0.2320
Cl2 Cl 0.2527 0.7158 0.7158
Cl3 Cl 0.2842 0.2842 0.7473
Cl4 Cl 0.2842 0.7473 0.2842
Cl5 Cl 0.7158 0.2527 0.7158
Cl6 Cl 0.7158 0.7158 0.2527
Cl7 Cl 0.7473 0.2842 0.2842
Cl8 Cl 0.7680 0.7680 0.7680
```


Record 4
# CsPuCdCl6
Computed PXRD pattern, Cu Kα (λ = 1.5418 Å). Input: the PBE geometry in Alexandria.
Intensities are scaled so that the largest is 100.

The 6 most intense peaks (2θ from 5° to 70°), sorted by position:
two_theta  d/Å  I/Imax
11.17  7.921  30.5
12.56  7.050  23.7
20.91  4.249  100.0
22.45  3.961  50.0
33.89  2.645  22.8
36.34  2.472  32.5

Cell and atoms:
```
data_CsPuCdCl6
_symmetry_space_group_name_H-M 'P 1'
_symmetry_Int_Tables_number 1
_cell_length_a 9.8965
_cell_length_b 9.8965
_cell_length_c 9.8965
_cell_angle_alpha 122.14
_cell_angle_beta 118.89
_cell_angle_gamma 89.14
loop_
_symmetry_equiv_pos_as_xyz
'x,y,z'
loop_
_atom_site_label
_atom_site_type_symbol
_atom_site_fract_x
_atom_site_fract_y
_atom_site_fract_z
Cs1 Cs 0.3100 0.0600 0.2500
Cs2 Cs 0.6900 0.9400 0.7500
Pu1 Pu 0.0000 0.5000 0.5000
Pu2 Pu 0.5000 0.5000 0.0000
Cd1 Cd 0.0000 0.0000 0.5000
Cd2 Cd 0.0000 0.5000 0.0000
Cl1 Cl 0.0639 0.8139 0.2500
Cl2 Cl 0.0652 0.4047 0.2311
Cl3 Cl 0.0652 0.8341 0.6605
Cl4 Cl 0.3264 0.1659 0.7311
Cl5 Cl 0.3259 0.5759 0.7500
Cl6 Cl 0.3264 0.5953 0.1605
Cl7 Cl 0.6736 0.4047 0.8395
Cl8 Cl 0.6741 0.4241 0.2500
Cl9 Cl 0.6736 0.8341 0.2689
Cl10 Cl 0.9348 0.1659 0.3395
Cl11 Cl 0.9348 0.5953 0.7689
Cl12 Cl 0.9361 0.1861 0.7500
```


Record 5
# CsRbCdCl4
Computed PXRD pattern, Cu Kα (λ = 1.5418 Å). Input: the PBE geometry in Alexandria.
Intensities are scaled so that the largest is 100.

The 6 most intense peaks (2θ from 5° to 70°), sorted by position:
two_theta  d/Å  I/Imax
10.58  8.361  44.0
23.07  3.856  100.0
23.56  3.776  97.1
33.57  2.670  79.7
41.12  2.195  45.3
47.14  1.928  35.6

Cell and atoms:
```
data_CsRbCdCl4
_symmetry_space_group_name_H-M 'P 1'
_symmetry_Int_Tables_number 1
_cell_length_a 5.3397
_cell_length_b 5.3397
_cell_length_c 16.7225
_cell_angle_alpha 90.00
_cell_angle_beta 90.00
_cell_angle_gamma 90.00
loop_
_symmetry_equiv_pos_as_xyz
'x,y,z'
loop_
_atom_site_label
_atom_site_type_symbol
_atom_site_fract_x
_atom_site_fract_y
_atom_site_fract_z
Cs1 Cs 0.0000 0.0000 0.0000
Cs2 Cs 0.5000 0.5000 0.5000
Rb1 Rb 0.0000 0.0000 0.7195
Rb2 Rb 0.5000 0.5000 0.2195
Cd1 Cd 0.0000 0.0000 0.3580
Cd2 Cd 0.5000 0.5000 0.8580
Cl1 Cl 0.0000 0.0000 0.2027
Cl2 Cl 0.0000 0.0000 0.5145
Cl3 Cl 0.0000 0.5000 0.3549
Cl4 Cl 0.0000 0.5000 0.8549
Cl5 Cl 0.5000 0.0000 0.3549
Cl6 Cl 0.5000 0.0000 0.8549
Cl7 Cl 0.5000 0.5000 0.0145
Cl8 Cl 0.5000 0.5000 0.7027
```


Record 6
# CsCdSbCl6
Computed PXRD pattern, Cu Kα (λ = 1.5418 Å). Input: the PBE geometry in Alexandria.
Intensities are scaled so that the largest is 100.

The 6 most intense peaks (2θ from 5° to 70°), sorted by position:
two_theta  d/Å  I/Imax
11.41  7.756  24.6
18.55  4.783  100.0
25.39  3.508  23.7
34.48  2.601  65.8
40.99  2.202  25.6
44.75  2.025  20.6

Cell and atoms:
```
data_CsCdSbCl6
_symmetry_space_group_name_H-M 'P 1'
_symmetry_Int_Tables_number 1
_cell_length_a 7.0152
_cell_length_b 7.0152
_cell_length_c 7.7565
_cell_angle_alpha 90.00
_cell_angle_beta 90.00
_cell_angle_gamma 120.00
loop_
_symmetry_equiv_pos_as_xyz
'x,y,z'
loop_
_atom_site_label
_atom_site_type_symbol
_atom_site_fract_x
_atom_site_fract_y
_atom_site_fract_z
Cs1 Cs 0.0000 0.0000 0.0000
Cd1 Cd 0.6667 0.3333 0.5000
Sb1 Sb 0.3333 0.6667 0.5000
Cl1 Cl 0.3785 0.0014 0.6980
Cl2 Cl 0.3785 0.3771 0.3020
Cl3 Cl 0.6229 0.0014 0.3020
Cl4 Cl 0.6229 0.6215 0.6980
Cl5 Cl 0.9986 0.3771 0.6980
Cl6 Cl 0.9986 0.6215 0.3020
```


Record 7
# Cs2CdSiCl6
Computed PXRD pattern, Cu Kα (λ = 1.5418 Å). Input: the PBE geometry in Alexandria.
Intensities are scaled so that the largest is 100.

The 6 most intense peaks (2θ from 5° to 70°), sorted by position:
two_theta  d/Å  I/Imax
23.80  3.739  100.0
29.26  3.053  41.1
33.91  2.644  70.4
41.85  2.159  45.3
48.71  1.869  47.2
66.12  1.413  23.7

Cell and atoms:
```
data_Cs2CdSiCl6
_symmetry_space_group_name_H-M 'P 1'
_symmetry_Int_Tables_number 1
_cell_length_a 7.4774
_cell_length_b 7.4774
_cell_length_c 7.4774
_cell_angle_alpha 60.00
_cell_angle_beta 60.00
_cell_angle_gamma 60.00
loop_
_symmetry_equiv_pos_as_xyz
'x,y,z'
loop_
_atom_site_label
_atom_site_type_symbol
_atom_site_fract_x
_atom_site_fract_y
_atom_site_fract_z
Cs1 Cs 0.2500 0.2500 0.2500
Cs2 Cs 0.7500 0.7500 0.7500
Cd1 Cd 0.0000 0.0000 0.0000
Si1 Si 0.5000 0.5000 0.5000
Cl1 Cl 0.2541 0.2541 0.7459
Cl2 Cl 0.2541 0.7459 0.2541
Cl3 Cl 0.2541 0.7459 0.7459
Cl4 Cl 0.7459 0.2541 0.2541
Cl5 Cl 0.7459 0.2541 0.7459
Cl6 Cl 0.7459 0.7459 0.2541
```


Record 8
# Cs2TbCdCl6
Computed PXRD pattern, Cu Kα (λ = 1.5418 Å). Input: the PBE geometry in Alexandria.
Intensities are scaled so that the largest is 100.

The 6 most intense peaks (2θ from 5° to 70°), sorted by position:
two_theta  d/Å  I/Imax
22.44  3.961  100.0
31.95  2.801  54.2
39.40  2.287  46.4
45.81  1.981  37.4
51.59  1.772  22.3
61.98  1.497  25.5

Cell and atoms:
```
data_Cs2TbCdCl6
_symmetry_space_group_name_H-M 'P 1'
_symmetry_Int_Tables_number 1
_cell_length_a 7.9236
_cell_length_b 11.2064
_cell_length_c 7.9208
_cell_angle_alpha 90.00
_cell_angle_beta 90.00
_cell_angle_gamma 90.00
loop_
_symmetry_equiv_pos_as_xyz
'x,y,z'
loop_
_atom_site_label
_atom_site_type_symbol
_atom_site_fract_x
_atom_site_fract_y
_atom_site_fract_z
Cs1 Cs 0.2500 0.9999 0.2505
Cs2 Cs 0.2500 0.5001 0.2505
Cs3 Cs 0.7500 0.0001 0.7495
Cs4 Cs 0.7500 0.4999 0.7495
Tb1 Tb 0.2500 0.2500 0.7489
Tb2 Tb 0.7500 0.7500 0.2511
Cd1 Cd 0.2500 0.7500 0.7509
Cd2 Cd 0.7500 0.2500 0.2491
Cl1 Cl 0.0130 0.2500 0.5116
Cl2 Cl 0.0129 0.2500 0.9860
Cl3 Cl 0.2500 0.0129 0.7482
Cl4 Cl 0.2500 0.4871 0.7482
Cl5 Cl 0.4870 0.2500 0.5116
Cl6 Cl 0.4871 0.2500 0.9860
Cl7 Cl 0.5129 0.7500 0.0140
Cl8 Cl 0.5130 0.7500 0.4884
Cl9 Cl 0.7500 0.5129 0.2518
Cl10 Cl 0.7500 0.9871 0.2518
Cl11 Cl 0.9871 0.7500 0.0140
Cl12 Cl 0.9870 0.7500 0.4884
```